Starting from DFT lattice parameters and positions (PBE), the powder diffractogram of TaTlO4 was calculated for copper Kα.
No peak broadening, texture or thermal motion is included.

Cell and atoms:
```
data_TaTlO4
_symmetry_space_group_name_H-M 'P b c n'
_symmetry_Int_Tables_number 60
_cell_length_a 5.028
_cell_length_b 5.856
_cell_length_c 10.991
_cell_angle_alpha 90.00
_cell_angle_beta 90.00
_cell_angle_gamma 90.00
loop_
_symmetry_equiv_pos_as_xyz
'x,y,z'
'-x,-y,-z'
'-x+1/2,-y+1/2,z+1/2'
'x+1/2,y+1/2,-z+1/2'
'x+1/2,-y+1/2,-z'
'-x+1/2,y+1/2,z'
'-x,y,-z+1/2'
'x,-y,z+1/2'
loop_
_atom_site_label
_atom_site_type_symbol
_atom_site_fract_x
_atom_site_fract_y
_atom_site_fract_z
Ta1 Ta 0.000 0.136 0.250
Tl1 Tl 0.000 0.500 0.000
O1 O 0.169 0.196 0.090
O2 O 0.241 0.427 0.311
```

Peak list (10 most intense, 2θ = 5–70°, by angle)
(1 1 1), 2θ = 24.7°, intensity 31
(1 1 2), 2θ = 28.5°, intensity 100
(0 0 4), 2θ = 32.6°, intensity 23
(2 0 0), 2θ = 35.7°, intensity 15
(2 0 4), 2θ = 49.1°, intensity 17
(1 3 0), 2θ = 50.1°, intensity 14
(2 2 2), 2θ = 50.7°, intensity 13
(1 1 6), 2θ = 55.7°, intensity 17
(3 1 2), 2θ = 59.8°, intensity 14
(1 3 4), 2θ = 61.1°, intensity 14